Starting from a DFT-relaxed cell (GGA-PBE, Alexandria), the X-ray powder pattern of CeSmCo2 was computed for Cu Kα X-rays.

Cell and atoms:
a = 6.1011 Å, b = 6.1453 Å, c = 9.2810 Å
α = 90.00°, β = 111.71°, γ = 90.00°
Space group P2/c (No. 13)
Symmetry-distinct sites (fractional):
Ce 0.1959 0.1329 0.1566 x4
Sm 0.3047 0.3619 0.8480 x4
Co 0.1057 0.3335 0.5217 x4
Co 0.3481 0.1284 0.4117 x4

Largest 6 diffraction maxima, in order of rising 2θ, 2θ from 15° to 90°:
index  2θ/deg  intensity
2 0 -2  30.68  71
0 2 1  30.89  100
1 1 -3  32.69  45
1 1 2  33.74  37
2 2 -1  41.74  90
1 1 3  42.80  35